No. 1
For KCuAgO2, the GGA-PBE geometry in Alexandria gives the theoretical powder diffraction line list in this record (λ = 1.5418 Å (Cu Kα)).

Most intense lines, 2θ = 10–90°, in order of falling intensity:
2θ (°)  intensity
16.72  100
37.52  54
31.70  51
33.80  37
33.34  30
48.21  21
54.59  18
63.09  18
51.56  18
26.73  15

Cell and atoms:
a = 5.873 Å, b = 10.606 Å, c = 6.670 Å
α = 90.00°, β = 90.00°, γ = 90.00°
Space group Cmme (No. 67)
Asymmetric unit:
1 K 0.000 0.250 0.213 x4
2 Cu 0.250 0.000 0.000 x4
3 Ag 0.000 0.000 0.500 x4
4 O 0.000 0.004 0.812 x8

---

No. 2
For SrAg5Te4, the GGA-PBE geometry in Alexandria gives the theoretical powder diffraction line list in this record (λ = 1.5418 Å (Cu Kα)).

Most intense lines, 2θ = 10–90°, in order of falling intensity:
2θ (°)  intensity
29.52  100
39.60  96
41.92  63
23.69  41
20.64  35
42.01  26
35.85  24
26.46  16
32.69  16
37.67  16

Cell and atoms:
a = 4.553 Å, b = 8.414 Å, c = 8.895 Å
α = 61.88°, β = 75.27°, γ = 90.00°
Space group P-1 (No. 2)
Asymmetric unit:
1 Sr 0.000 0.000 0.000 x1
2 Ag 0.000 0.500 0.000 x1
3 Ag 0.320 0.011 0.363 x2
4 Ag 0.322 0.627 0.358 x2
5 Te 0.229 0.231 0.540 x2
6 Te 0.499 0.283 0.003 x2

---

No. 3
For Rb3HgF7, the GGA-PBE geometry in Alexandria gives the theoretical powder diffraction line list in this record (λ = 1.5418 Å (Cu Kα)).

Most intense lines, 2θ = 10–90°, in order of falling intensity:
2θ (°)  intensity
24.98  100
22.67  63
25.91  50
28.42  47
15.19  41
38.84  40
45.73  36
42.92  30
28.82  25
39.81  20

Cell and atoms:
a = 9.145 Å, b = 8.718 Å, c = 7.223 Å
α = 90.00°, β = 120.94°, γ = 90.00°
Space group Cm (No. 8)
Asymmetric unit:
1 Rb 0.000 0.000 0.000 x2
2 Rb 0.008 0.273 0.512 x4
3 Hg 0.499 0.000 0.007 x2
4 F 0.138 0.312 0.217 x4
5 F 0.152 0.500 0.854 x2
6 F 0.353 0.000 0.171 x2
7 F 0.354 0.177 0.781 x4
8 F 0.442 0.500 0.604 x2